Calculated powder diffraction line list
Compound: PrNi3As3
Radiation: Cu Kα (λ = 1.5418 Å)
Structure: a DFT-relaxed cell (GGA-PBE, Alexandria)

Top 10 peaks for 10 to 90 degrees two-theta, sorted by position:
- (1 0 1), 2θ 15.70, d 5.645, rel. 15
- (0 1 2), 2θ 17.42, d 5.092, rel. 13
- (2 -1 3), 2θ 29.42, d 3.036, rel. 100
- (2 -1 6), 2θ 37.42, d 2.403, rel. 58
- (0 0 9), 2θ 39.69, d 2.271, rel. 19
- (3 0 0), 2θ 46.38, d 1.958, rel. 72
- (1 1 9), 2θ 48.23, d 1.887, rel. 35
- (2 2 3), 2θ 55.88, d 1.645, rel. 16
- (2 2 6), 2θ 61.05, d 1.518, rel. 14
- (3 0 9), 2θ 62.66, d 1.483, rel. 28

Structure:
a = 6.7817 Å, b = 6.7817 Å, c = 20.4359 Å
α = 90.00°, β = 90.00°, γ = 120.00°
Space group R-3 (No. 148, hexagonal axes)
One atom of each set of equivalent atoms:
Pr  0.0000  0.0000  0.1673 x6
Ni  0.0008  0.3426  0.3736 x18
As  0.0013  0.3181  0.5937 x18


Calculated powder diffraction line list
Compound: Rb2PmAl2O6
Radiation: Cu Kα (λ = 1.5418 Å)
Structure: a DFT-relaxed cell (GGA-PBE, Alexandria)

Top 10 peaks for 10 to 90 degrees two-theta, sorted by position:
- (1 0 1), 2θ 17.26, d 5.138, rel. 48
- (1 0 4), 2θ 24.98, d 3.564, rel. 18
- (0 1 5), 2θ 28.68, d 3.112, rel. 100
- (1 1 0), 2θ 29.00, d 3.079, rel. 76
- (0 2 4), 2θ 38.64, d 2.330, rel. 22
- (2 0 5), 2θ 41.24, d 2.189, rel. 31
- (1 0 10), 2θ 50.61, d 1.804, rel. 21
- (1 2 5), 2θ 51.21, d 1.784, rel. 37
- (2 2 0), 2θ 60.10, d 1.539, rel. 17
- (2 1 10), 2θ 67.43, d 1.389, rel. 17

Structure:
a = 6.1579 Å, b = 6.1579 Å, c = 19.1652 Å
α = 90.00°, β = 90.00°, γ = 120.00°
Space group R-3m (No. 166, hexagonal axes)
One atom of each set of equivalent atoms:
Rb  0.0000  0.0000  0.2027 x6
Pm  0.0000  0.0000  0.0000 x3
Al  0.0000  0.0000  0.4087 x6
O  0.0132  0.5066  0.2570 x18


Calculated powder diffraction line list
Compound: Sr2MgNbN4
Radiation: Cu Kα (λ = 1.5418 Å)
Structure: a DFT-relaxed cell (GGA-PBE, Alexandria)

Top 10 peaks for 10 to 90 degrees two-theta, sorted by position:
- (1 1 0), 2θ 18.80, d 4.719, rel. 14
- (1 0 1), 2θ 18.95, d 4.684, rel. 12
- (0 2 0), 2θ 29.19, d 3.060, rel. 28
- (0 0 2), 2θ 29.57, d 3.021, rel. 37
- (2 1 1), 2θ 31.87, d 2.808, rel. 100
- (0 2 2), 2θ 42.03, d 2.150, rel. 29
- (4 0 0), 2θ 49.16, d 1.853, rel. 12
- (2 3 1), 2θ 53.47, d 1.714, rel. 22
- (2 1 3), 2θ 53.93, d 1.700, rel. 23
- (4 2 2), 2θ 66.62, d 1.404, rel. 14

Structure:
a = 7.414 Å, b = 6.120 Å, c = 6.043 Å
α = 90.00°, β = 90.00°, γ = 90.00°
Space group Pmn2_1 (No. 31)
One atom of each set of equivalent atoms:
Sr  0.247  0.227  0.000 x4
Mg  0.000  0.777  0.998 x2
Nb  0.000  0.212  0.498 x2
N  0.000  0.010  0.251 x2
N  0.000  0.014  0.748 x2
N  0.238  0.363  0.494 x4


Calculated powder diffraction line list
Compound: IrSeBr3
Radiation: Cu Kα (λ = 1.5418 Å)
Structure: a DFT-relaxed cell (GGA-PBE, Alexandria)

Top 10 peaks for 10 to 90 degrees two-theta, sorted by position:
- (0 1 0), 2θ 10.77, d 8.213, rel. 61
- (1 0 0), 2θ 11.96, d 7.400, rel. 100
- (0 1 1), 2θ 12.76, d 6.939, rel. 48
- (1 1 1), 2θ 17.66, d 5.021, rel. 28
- (0 2 2), 2θ 25.68, d 3.469, rel. 13
- (1 0 4), 2θ 30.43, d 2.937, rel. 19
- (2 1 -3), 2θ 33.24, d 2.696, rel. 13
- (1 3 -1), 2θ 35.58, d 2.523, rel. 12
- (3 0 -2), 2θ 38.69, d 2.328, rel. 16
- (4 0 2), 2θ 51.77, d 1.766, rel. 12

Structure:
a = 7.403 Å, b = 8.213 Å, c = 12.974 Å
α = 90.00°, β = 91.73°, γ = 90.00°
Space group P2/c (No. 13)
One atom of each set of equivalent atoms:
Ir  0.062  0.129  0.117 x4
Se  0.040  0.402  0.166 x4
Br  0.110  0.164  0.552 x4
Br  0.219  0.052  0.284 x4
Br  0.343  0.221  0.031 x4


Calculated powder diffraction line list
Compound: Rb2TiBiO4
Radiation: Cu Kα (λ = 1.5418 Å)
Structure: a DFT-relaxed cell (GGA-PBE, Alexandria)

Top 10 peaks for 10 to 90 degrees two-theta, sorted by position:
- (1 0 1), 2θ 16.98, d 5.221, rel. 25
- (1 1 0), 2θ 17.61, d 5.035, rel. 33
- (0 0 2), 2θ 25.25, d 3.527, rel. 53
- (2 1 0), 2θ 26.63, d 3.348, rel. 24
- (2 1 1), 2θ 29.53, d 3.024, rel. 100
- (0 2 1), 2θ 29.83, d 2.995, rel. 35
- (0 2 2), 2θ 37.28, d 2.412, rel. 29
- (2 1 3), 2θ 47.24, d 1.924, rel. 29
- (2 3 0), 2θ 47.42, d 1.917, rel. 26
- (2 3 2), 2θ 54.47, d 1.685, rel. 22

Structure:
a = 7.763 Å, b = 6.616 Å, c = 7.054 Å
α = 90.00°, β = 90.00°, γ = 90.00°
Space group Pmn2_1 (No. 31)
One atom of each set of equivalent atoms:
Rb  0.250  0.191  0.000 x4
Ti  0.000  0.381  0.538 x2
Bi  0.000  0.686  0.029 x2
O  0.000  0.529  0.318 x2
O  0.000  0.586  0.716 x2
O  0.198  0.230  0.561 x4


Calculated powder diffraction line list
Compound: Er7Th2
Radiation: Cu Kα (λ = 1.5418 Å)
Structure: a DFT-relaxed cell (GGA-PBE, Alexandria)

Top 10 peaks for 10 to 90 degrees two-theta, sorted by position:
- (1 1 1), 2θ 31.05, d 2.880, rel. 100
- (2 -1 2), 2θ 36.01, d 2.494, rel. 51
- (3 0 0), 2θ 51.84, d 1.764, rel. 36
- (3 0 3), 2θ 61.64, d 1.505, rel. 32
- (2 -1 5), 2θ 61.74, d 1.502, rel. 11
- (2 2 2), 2θ 64.69, d 1.441, rel. 9
- (4 -2 4), 2θ 76.36, d 1.247, rel. 6
- (4 1 1), 2θ 84.60, d 1.145, rel. 9
- (5 -1 2), 2θ 87.36, d 1.116, rel. 9
- (3 0 6), 2θ 87.51, d 1.115, rel. 8

Structure:
a = 6.1153 Å, b = 6.1153 Å, c = 8.6255 Å
α = 90.00°, β = 90.00°, γ = 120.00°
Space group P-31m (No. 162)
One atom of each set of equivalent atoms:
Er  0.0000  0.0000  0.0000 x1
Er  0.0000  0.3358  0.6686 x6
Th  0.3333  0.6667  0.0000 x2


Calculated powder diffraction line list
Compound: InSnBiAu2
Radiation: Cu Kα (λ = 1.5418 Å)
Structure: a DFT-relaxed cell (GGA-PBE, Alexandria)

Top 10 peaks for 10 to 90 degrees two-theta, sorted by position:
- (1 1 1), 2θ 26.04, d 3.422, rel. 31
- (3 1 -1), 2θ 27.95, d 3.192, rel. 83
- (3 1 0), 2θ 31.71, d 2.822, rel. 53
- (4 0 -4), 2θ 34.33, d 2.612, rel. 52
- (2 0 -4), 2θ 35.42, d 2.534, rel. 29
- (3 1 1), 2θ 38.42, d 2.343, rel. 81
- (5 1 -3), 2θ 38.66, d 2.329, rel. 100
- (3 1 -4), 2θ 39.37, d 2.289, rel. 37
- (0 2 0), 2θ 39.58, d 2.277, rel. 67
- (8 2 -2), 2θ 71.69, d 1.316, rel. 30

Structure:
a = 13.822 Å, b = 4.554 Å, c = 10.610 Å
α = 90.00°, β = 128.70°, γ = 90.00°
Space group C2/m (No. 12)
One atom of each set of equivalent atoms:
In  0.134  0.000  0.054 x4
Sn  0.242  0.500  0.365 x4
Bi  0.033  0.500  0.674 x4
Au  0.088  0.000  0.286 x4
Au  0.212  0.000  0.860 x4


Calculated powder diffraction line list
Compound: CsHg2BiPb
Radiation: Cu Kα (λ = 1.5418 Å)
Structure: a DFT-relaxed cell (GGA-PBE, Alexandria)

Top 10 peaks for 10 to 90 degrees two-theta, sorted by position:
- (1 0 0), 2θ 14.47, d 6.120, rel. 44
- (1 1 1), 2θ 25.13, d 3.543, rel. 93
- (0 0 2), 2θ 28.93, d 3.086, rel. 51
- (2 0 0), 2θ 29.18, d 3.060, rel. 100
- (2 1 0), 2θ 32.69, d 2.739, rel. 26
- (2 0 2), 2θ 41.56, d 2.173, rel. 78
- (2 2 0), 2θ 41.74, d 2.164, rel. 39
- (3 1 1), 2θ 49.35, d 1.847, rel. 31
- (2 2 2), 2θ 51.59, d 1.772, rel. 42
- (4 2 2), 2θ 76.08, d 1.251, rel. 28

Structure:
a = 6.120 Å, b = 6.120 Å, c = 6.172 Å
α = 90.00°, β = 90.00°, γ = 90.00°
Space group P4/mmm (No. 123)
One atom of each set of equivalent atoms:
Cs  0.000  0.000  0.000 x1
Hg  0.000  0.500  0.500 x2
Bi  0.500  0.500  0.000 x1
Pb  0.500  0.500  0.500 x1